# OsF5
Theoretical X-ray powder pattern, λ = 1.5418 Å (Cu Kα). Input: the PBE geometry in OQMD.
No peak broadening, texture or thermal motion is included.

Peak list (6 most intense, 15 to 90 degrees two-theta, by angle)
- 20.55°, I = 20
- 21.68°, I = 63
- 22.47°, I = 39
- 24.52°, I = 100
- 26.05°, I = 51
- 44.60°, I = 24

Cell: 5.073 9.353 11.650 Å, 90.00 98.60 90.00°
Space group P2_1/c (No. 14)
Inequivalent atoms, fractional coordinates:
Os (0.005, 0.237, 0.497) (multiplicity 4)
Os (0.323, 0.501, 0.710) (multiplicity 4)
F (0.010, 0.581, 0.751) (multiplicity 4)
F (0.098, 0.171, 0.154) (multiplicity 4)
F (0.098, 0.666, 0.151) (multiplicity 4)
F (0.207, 0.080, 0.550) (multiplicity 4)
F (0.208, 0.584, 0.550) (multiplicity 4)
F (0.299, 0.166, 0.952) (multiplicity 4)
F (0.299, 0.664, 0.951) (multiplicity 4)
F (0.392, 0.585, 0.349) (multiplicity 4)
F (0.410, 0.088, 0.352) (multiplicity 4)
F (0.487, 0.165, 0.747) (multiplicity 4)